[1]
Simulated X-ray powder pattern of HPb3Cl4OF for CuKα, from a cell relaxed with GGA-PBE.
Peak positions follow from Bragg's law for the DFT cell and can differ from measured ones.

Cell: 7.3140 7.8689 17.1324 Å, 90.00 101.64 90.00°
Sites, in units of the cell vectors:
H1 0.0130 0.1106 0.2522
H2 0.0130 0.3894 0.7522
H3 0.9870 0.6106 0.2478
H4 0.9870 0.8894 0.7478
Pb1 0.2523 0.6421 0.4555
Pb2 0.2523 0.8579 0.9555
Pb3 0.2808 0.1230 0.4508
Pb4 0.2808 0.3770 0.9508
Pb5 0.3419 0.1181 0.1829
Pb6 0.3419 0.3819 0.6829
Pb7 0.6581 0.6181 0.3171
Pb8 0.6581 0.8819 0.8171
Pb9 0.7192 0.6230 0.0492
Pb10 0.7192 0.8770 0.5492
Pb11 0.7477 0.1421 0.0445
Pb12 0.7477 0.3579 0.5445
Cl1 0.0769 0.1341 0.5962
Cl2 0.0769 0.3659 0.0962
Cl3 0.0823 0.6313 0.5989
Cl4 0.0823 0.8687 0.0989
Cl5 0.3492 0.6360 0.8210
Cl6 0.3492 0.8640 0.3210
Cl7 0.3562 0.1250 0.8246
Cl8 0.3562 0.3750 0.3246
Cl9 0.6438 0.6250 0.6754
Cl10 0.6438 0.8750 0.1754
Cl11 0.6508 0.1360 0.6790
Cl12 0.6508 0.3640 0.1790
Cl13 0.9177 0.1313 0.9011
Cl14 0.9177 0.3687 0.4011
Cl15 0.9231 0.6341 0.9038
Cl16 0.9231 0.8659 0.4038
O1 0.4013 0.6145 0.0193
O2 0.4013 0.8855 0.5193
O3 0.5987 0.1145 0.4807
O4 0.5987 0.3855 0.9807
F1 0.3857 0.1206 0.0385
F2 0.3857 0.3794 0.5385
F3 0.6143 0.6206 0.4615
F4 0.6143 0.8794 0.9615

The 10 most intense peaks (2θ from 5° to 70°), by intensity:
22.29 deg, I = 100
26.89 deg, I = 97
10.54 deg, I = 97
31.78 deg, I = 93
35.26 deg, I = 89
29.06 deg, I = 68
24.85 deg, I = 68
35.12 deg, I = 57
44.24 deg, I = 45
12.37 deg, I = 45


[2]
Simulated X-ray powder pattern of Zr3Te for CuKα, from a cell relaxed with GGA-PBE.
Peak positions follow from Bragg's law for the DFT cell and can differ from measured ones.

Cell: 11.2953 11.2953 11.2953 Å, 29.19 29.19 29.19°
Sites, in units of the cell vectors:
Zr1 0.0000 0.0000 0.0000
Zr2 0.0851 0.0851 0.5882
Zr3 0.0851 0.5882 0.0851
Zr4 0.1672 0.1672 0.1672
Zr5 0.4118 0.9149 0.9149
Zr6 0.5882 0.0851 0.0851
Zr7 0.8328 0.8328 0.8328
Zr8 0.9149 0.4118 0.9149
Zr9 0.9149 0.9149 0.4118
Te1 0.3734 0.3734 0.3734
Te2 0.5000 0.5000 0.5000
Te3 0.6266 0.6266 0.6266

The 10 most intense peaks (2θ from 5° to 70°), by intensity:
35.65 deg, I = 100
39.10 deg, I = 58
28.51 deg, I = 46
36.56 deg, I = 45
31.43 deg, I = 42
65.60 deg, I = 33
33.16 deg, I = 28
35.49 deg, I = 27
24.72 deg, I = 26
26.40 deg, I = 24